[1]
Calculated powder X-ray diffraction pattern of K5Ir4 for Cu Kα (λ = 1.5418 Å), from a structure optimized by DFT (PBE).
Neutral-atom scattering factors, no anomalous dispersion.

Most intense lines, 10 to 90 degrees two-theta, low angle first:
2θ (°), I (rel.)
11.5, 100
16.2, 26
32.7, 45
34.9, 12
36.8, 8
40.4, 29
45.3, 7
47.0, 18
50.1, 13
87.5, 8

Cell and atoms:
Cell lengths 7.996, 7.996, 7.996 Å; angles 93.85, 93.85, 149.96 degrees
Atoms (fractional coordinates):
K: 0.000 0.000 0.000
K: 0.321 0.321 0.643
K: 0.321 0.679 0.000
K: 0.679 0.321 0.000
K: 0.679 0.679 0.357
Ir: 0.000 0.385 0.385
Ir: 0.000 0.615 0.615
Ir: 0.385 0.000 0.385
Ir: 0.615 0.000 0.615

***

[2]
Calculated powder X-ray diffraction pattern of K2LiIr for Cu Kα (λ = 1.5418 Å), from a structure optimized by DFT (PBE).
Neutral-atom scattering factors, no anomalous dispersion.

Most intense lines, 10 to 90 degrees two-theta, low angle first:
2θ (°), I (rel.)
18.2, 34
25.6, 61
27.2, 100
27.4, 38
31.6, 88
36.6, 55
37.8, 43
37.9, 77
46.3, 37
60.4, 38

Cell and atoms:
Cell lengths 3.475, 3.475, 9.761 Å; angles 90.00, 90.00, 90.00 degrees
Atoms (fractional coordinates):
K: 0.000 0.000 0.000
K: 0.500 0.500 0.440
Li: 0.000 0.000 0.694
Ir: 0.500 0.500 0.764

***

[3]
Calculated powder X-ray diffraction pattern of KMg2Ir for Cu Kα (λ = 1.5418 Å), from a structure optimized by DFT (PBE).
Neutral-atom scattering factors, no anomalous dispersion.

Most intense lines, 10 to 90 degrees two-theta, low angle first:
2θ (°), I (rel.)
11.4, 100
19.8, 64
22.9, 21
31.0, 18
33.1, 27
34.6, 20
36.1, 22
41.6, 12
43.2, 13
48.7, 14

Cell and atoms:
Cell lengths 9.350, 3.173, 8.119 Å; angles 90.00, 106.98, 90.00 degrees
Atoms (fractional coordinates):
K: 0.000 0.000 0.000
K: 0.500 0.500 0.000
Mg: 0.165 0.000 0.619
Mg: 0.371 0.000 0.371
Mg: 0.665 0.500 0.619
Mg: 0.871 0.500 0.371
Ir: 0.144 0.500 0.363
Ir: 0.644 0.000 0.363

***

[4]
Calculated powder X-ray diffraction pattern of K2MgIr for Cu Kα (λ = 1.5418 Å), from a structure optimized by DFT (PBE).
Neutral-atom scattering factors, no anomalous dispersion.

Most intense lines, 10 to 90 degrees two-theta, low angle first:
2θ (°), I (rel.)
17.8, 62
24.1, 79
26.9, 73
28.6, 52
28.7, 75
32.6, 54
35.2, 60
35.4, 100
36.6, 79
45.0, 71

Cell and atoms:
Cell lengths 3.291, 3.975, 9.956 Å; angles 90.00, 90.00, 90.00 degrees
Atoms (fractional coordinates):
K: 0.000 0.000 0.000
K: 0.500 0.500 0.421
Mg: 0.500 0.500 0.733
Ir: 0.000 0.000 0.673

***

[5]
Calculated powder X-ray diffraction pattern of KMgIr2O for Cu Kα (λ = 1.5418 Å), from a structure optimized by DFT (PBE).
Neutral-atom scattering factors, no anomalous dispersion.

Most intense lines, 10 to 90 degrees two-theta, low angle first:
2θ (°), I (rel.)
16.1, 100
26.5, 37
31.2, 84
32.5, 28
37.9, 37
41.4, 39
42.4, 23
50.7, 32
57.2, 15
64.2, 22

Cell and atoms:
Cell lengths 4.753, 4.753, 5.509 Å; angles 90.00, 90.00, 90.00 degrees
Atoms (fractional coordinates):
K: 0.000 0.000 0.000
Mg: 0.000 0.000 0.500
Ir: 0.000 0.500 0.000
Ir: 0.500 0.000 0.000
O: 0.500 0.500 0.500

***

[6]
Calculated powder X-ray diffraction pattern of K2MgSiIr for Cu Kα (λ = 1.5418 Å), from a structure optimized by DFT (PBE).
Neutral-atom scattering factors, no anomalous dispersion.

Most intense lines, 10 to 90 degrees two-theta, low angle first:
2θ (°), I (rel.)
14.5, 100
20.5, 34
23.6, 33
27.8, 98
29.2, 61
32.7, 29
37.9, 21
41.8, 22
48.3, 29
50.9, 35

Cell and atoms:
Cell lengths 6.117, 6.117, 4.778 Å; angles 90.00, 90.00, 90.00 degrees
Atoms (fractional coordinates):
K: 0.000 0.500 0.000
K: 0.500 0.000 0.000
Mg: 0.000 0.000 0.000
Si: 0.500 0.500 0.500
Ir: 0.000 0.000 0.500

***

[7]
Calculated powder X-ray diffraction pattern of K3IrN6O12 for Cu Kα (λ = 1.5418 Å), from a structure optimized by DFT (PBE).
Neutral-atom scattering factors, no anomalous dispersion.

Most intense lines, 10 to 90 degrees two-theta, low angle first:
2θ (°), I (rel.)
13.9, 100
16.1, 24
22.8, 67
26.8, 24
28.0, 30
32.4, 62
40.0, 39
42.6, 29
46.5, 29
63.0, 23

Cell and atoms:
Cell lengths 7.806, 7.806, 7.806 Å; angles 60.00, 60.00, 60.00 degrees
Atoms (fractional coordinates):
K: 0.000 0.000 0.000
K: 0.250 0.250 0.250
K: 0.750 0.750 0.750
Ir: 0.500 0.500 0.500
N: 0.319 0.319 0.681
N: 0.319 0.681 0.319
N: 0.319 0.681 0.681
N: 0.681 0.319 0.319
N: 0.681 0.319 0.681
N: 0.681 0.681 0.319
O: 0.083 0.500 0.500
O: 0.083 0.500 0.917
O: 0.083 0.917 0.500
O: 0.500 0.083 0.500
O: 0.500 0.083 0.917
O: 0.500 0.500 0.083
O: 0.500 0.500 0.917
O: 0.500 0.917 0.083
O: 0.500 0.917 0.500
O: 0.917 0.083 0.500
O: 0.917 0.500 0.083
O: 0.917 0.500 0.500

***

[8]
Calculated powder X-ray diffraction pattern of K3NaIr2O6 for Cu Kα (λ = 1.5418 Å), from a structure optimized by DFT (PBE).
Neutral-atom scattering factors, no anomalous dispersion.

Most intense lines, 10 to 90 degrees two-theta, low angle first:
2θ (°), I (rel.)
16.1, 22
20.4, 100
24.9, 30
28.1, 68
29.8, 40
37.9, 32
41.3, 15
41.4, 22
45.5, 25
50.8, 17

Cell and atoms:
Cell lengths 6.348, 6.348, 7.144 Å; angles 90.00, 90.00, 120.00 degrees
Atoms (fractional coordinates):
K: 0.000 0.000 0.000
K: 0.333 0.667 0.742
K: 0.667 0.333 0.258
Na: 0.000 0.000 0.500
Ir: 0.333 0.667 0.270
Ir: 0.667 0.333 0.730
O: 0.168 0.337 0.274
O: 0.168 0.832 0.274
O: 0.337 0.168 0.726
O: 0.663 0.832 0.274
O: 0.832 0.168 0.726
O: 0.832 0.663 0.726

***

[9]
Calculated powder X-ray diffraction pattern of K2Na2IrO4 for Cu Kα (λ = 1.5418 Å), from a structure optimized by DFT (PBE).
Neutral-atom scattering factors, no anomalous dispersion.

Most intense lines, 10 to 90 degrees two-theta, low angle first:
2θ (°), I (rel.)
15.8, 59
18.7, 100
20.4, 99
21.8, 78
27.1, 60
30.5, 39
31.6, 50
32.8, 81
33.5, 57
44.5, 37

Cell and atoms:
Cell lengths 6.080, 11.311, 9.445 Å; angles 90.00, 112.85, 90.00 degrees
Atoms (fractional coordinates):
K: 0.163 0.135 0.281
K: 0.163 0.365 0.781
K: 0.164 0.638 0.001
K: 0.164 0.862 0.501
K: 0.836 0.138 0.499
K: 0.836 0.362 0.999
K: 0.837 0.635 0.219
K: 0.837 0.865 0.719
Na: 0.065 0.108 0.906
Na: 0.065 0.392 0.406
Na: 0.430 0.613 0.405
Na: 0.430 0.887 0.905
Na: 0.570 0.113 0.095
Na: 0.570 0.387 0.595
Na: 0.935 0.608 0.594
Na: 0.935 0.892 0.094
Ir: 0.486 0.130 0.729
Ir: 0.486 0.370 0.229
Ir: 0.514 0.630 0.771
Ir: 0.514 0.870 0.271
O: 0.218 0.034 0.724
O: 0.218 0.466 0.224
O: 0.243 0.724 0.760
O: 0.243 0.776 0.260
O: 0.279 0.231 0.568
O: 0.279 0.269 0.068
O: 0.299 0.534 0.602
O: 0.299 0.966 0.102
O: 0.701 0.034 0.898
O: 0.701 0.466 0.398
O: 0.721 0.731 0.932
O: 0.721 0.769 0.432
O: 0.757 0.224 0.740
O: 0.757 0.276 0.240
O: 0.782 0.534 0.776
O: 0.782 0.966 0.276

***

[10]
Calculated powder X-ray diffraction pattern of KNb2IrO8 for Cu Kα (λ = 1.5418 Å), from a structure optimized by DFT (PBE).
Neutral-atom scattering factors, no anomalous dispersion.

Most intense lines, 10 to 90 degrees two-theta, low angle first:
2θ (°), I (rel.)
12.7, 31
20.1, 100
21.3, 80
27.7, 20
28.3, 45
28.9, 72
33.6, 43
34.6, 22
49.2, 35
53.6, 20

Cell and atoms:
Cell lengths 5.339, 5.339, 7.185 Å; angles 102.00, 102.00, 72.28 degrees
Atoms (fractional coordinates):
K: 0.000 0.000 0.000
Nb: 0.439 0.439 0.773
Nb: 0.561 0.561 0.227
Ir: 0.000 0.000 0.500
O: 0.216 0.758 0.685
O: 0.226 0.226 0.596
O: 0.242 0.784 0.315
O: 0.353 0.353 0.997
O: 0.647 0.647 0.003
O: 0.758 0.216 0.685
O: 0.774 0.774 0.404
O: 0.784 0.242 0.315

***

[11]
Calculated powder X-ray diffraction pattern of K3Nd3IrO8 for Cu Kα (λ = 1.5418 Å), from a structure optimized by DFT (PBE).
Neutral-atom scattering factors, no anomalous dispersion.

Most intense lines, 10 to 90 degrees two-theta, low angle first:
2θ (°), I (rel.)
14.1, 100
28.4, 27
29.7, 38
30.9, 57
35.1, 77
44.9, 20
48.8, 26
52.0, 24
54.2, 19
60.3, 20

Cell and atoms:
Cell lengths 7.490, 7.490, 7.490 Å; angles 56.00, 56.00, 56.00 degrees
Atoms (fractional coordinates):
K: 0.000 0.500 0.500
K: 0.500 0.000 0.500
K: 0.500 0.500 0.000
Nd: 0.000 0.000 0.500
Nd: 0.000 0.500 0.000
Nd: 0.500 0.000 0.000
Ir: 0.500 0.500 0.500
O: 0.231 0.231 0.231
O: 0.261 0.707 0.707
O: 0.293 0.293 0.739
O: 0.293 0.739 0.293
O: 0.707 0.261 0.707
O: 0.707 0.707 0.261
O: 0.739 0.293 0.293
O: 0.769 0.769 0.769

***

[12]
Calculated powder X-ray diffraction pattern of KNd2IrO8 for Cu Kα (λ = 1.5418 Å), from a structure optimized by DFT (PBE).
Neutral-atom scattering factors, no anomalous dispersion.

Most intense lines, 10 to 90 degrees two-theta, low angle first:
2θ (°), I (rel.)
12.5, 100
21.9, 38
27.4, 87
28.4, 62
30.3, 74
32.8, 26
33.7, 45
44.6, 28
44.7, 25
49.6, 25

Cell and atoms:
Cell lengths 4.266, 5.322, 7.355 Å; angles 90.03, 105.91, 90.19 degrees
Atoms (fractional coordinates):
K: 0.000 0.000 0.000
Nd: 0.375 0.494 0.711
Nd: 0.625 0.506 0.289
Ir: 0.000 0.000 0.500
O: 0.172 0.503 0.997
O: 0.184 0.706 0.403
O: 0.201 0.240 0.378
O: 0.352 0.017 0.728
O: 0.648 0.983 0.272
O: 0.799 0.760 0.622
O: 0.816 0.294 0.597
O: 0.828 0.497 0.003